[1]
Diffraction record for Tl2I3O9. The powder diffractogram is calculated, not measured: it uses the PBE geometry in the Materials Project and copper Kα.
No peak broadening, texture or thermal motion is included.

Principal peaks in the range 2θ = 10–80°, low angle first:
- 2θ = 25.84°, I 100.0
- 2θ = 25.94°, I 34.5
- 2θ = 27.11°, I 14.3
- 2θ = 27.36°, I 51.2
- 2θ = 30.27°, I 43.5
- 2θ = 30.66°, I 29.8
- 2θ = 42.54°, I 17.0
- 2θ = 44.59°, I 23.1

Atomic structure:
a b c (Å): 7.219 7.250 10.700
angles (deg): 86.81 72.96 72.24
Sites, in units of the cell vectors:
Tl1 0.000 0.000 0.000
Tl2 0.159 0.031 0.601
Tl3 0.500 0.500 0.000
Tl4 0.841 0.969 0.399
I1 0.034 0.525 0.809
I2 0.412 0.447 0.370
I3 0.446 0.962 0.192
I4 0.554 0.038 0.808
I5 0.588 0.553 0.630
I6 0.966 0.475 0.191
O1 0.040 0.549 0.325
O2 0.077 0.212 0.187
O3 0.157 0.548 0.050
O4 0.287 0.147 0.809
O5 0.320 0.834 0.325
O6 0.337 0.564 0.608
O7 0.410 0.201 0.417
O8 0.436 0.827 0.051
O9 0.467 0.623 0.809
O10 0.533 0.377 0.191
O11 0.564 0.173 0.949
O12 0.590 0.799 0.583
O13 0.663 0.436 0.392
O14 0.680 0.166 0.675
O15 0.713 0.853 0.191
O16 0.843 0.452 0.950
O17 0.923 0.788 0.813
O18 0.960 0.451 0.675

---

[2]
Diffraction record for Mg9Si5. The powder diffractogram is calculated, not measured: it uses the PBE geometry in the Materials Project and copper Kα.
No peak broadening, texture or thermal motion is included.

Principal peaks in the range 2θ = 10–80°, low angle first:
- 2θ = 33.11°, I 100.0
- 2θ = 33.97°, I 44.9
- 2θ = 35.39°, I 44.4
- 2θ = 35.68°, I 50.5
- 2θ = 36.96°, I 35.1
- 2θ = 38.46°, I 46.4
- 2θ = 39.39°, I 30.3
- 2θ = 43.61°, I 92.1

Atomic structure:
a b c (Å): 7.134 7.148 12.496
angles (deg): 93.67 90.11 119.22
Sites, in units of the cell vectors:
Mg1 0.000 0.000 0.000
Mg2 0.003 0.975 0.672
Mg3 0.219 0.396 0.160
Mg4 0.223 0.372 0.831
Mg5 0.248 0.716 0.668
Mg6 0.256 0.361 0.507
Mg7 0.324 0.790 0.002
Mg8 0.377 0.807 0.307
Mg9 0.500 0.219 0.658
Mg10 0.540 0.321 0.004
Mg11 0.586 0.477 0.306
Mg12 0.631 0.889 0.525
Mg13 0.682 0.049 0.827
Mg14 0.722 0.152 0.173
Mg15 0.845 0.569 0.525
Mg16 0.898 0.582 0.829
Mg17 0.968 0.010 0.325
Mg18 0.973 0.655 0.164
Si1 0.004 0.424 0.339
Si2 0.219 0.947 0.492
Si3 0.270 0.002 0.834
Si4 0.304 0.069 0.166
Si5 0.582 0.635 0.689
Si6 0.611 0.686 0.917
Si7 0.625 0.190 0.415
Si8 0.639 0.736 0.145
Si9 0.917 0.302 0.664
Si10 0.952 0.370 0.997

---

[3]
Diffraction record for VCo2Ni. The powder diffractogram is calculated, not measured: it uses the PBE geometry in the Materials Project and copper Kα.
No peak broadening, texture or thermal motion is included.

Principal peaks in the range 2θ = 10–80°, low angle first:
- 2θ = 41.92°, I 42.1
- 2θ = 42.84°, I 13.6
- 2θ = 45.01°, I 52.2
- 2θ = 46.38°, I 100.0
- 2θ = 48.91°, I 90.5
- 2θ = 58.93°, I 11.6
- 2θ = 67.30°, I 10.9
- 2θ = 75.93°, I 29.3

Atomic structure:
a b c (Å): 6.699 6.699 6.699
angles (deg): 43.94 43.94 43.94
Sites, in units of the cell vectors:
V1 0.000 0.000 0.000
V2 0.216 0.216 0.216
V3 0.784 0.784 0.784
Co1 0.230 0.719 0.719
Co2 0.281 0.281 0.770
Co3 0.281 0.770 0.281
Co4 0.719 0.230 0.719
Co5 0.719 0.719 0.230
Co6 0.770 0.281 0.281
Ni1 0.000 0.500 0.500
Ni2 0.500 0.000 0.500
Ni3 0.500 0.500 0.000

---

[4]
Diffraction record for BaTbEuSbO6. The powder diffractogram is calculated, not measured: it uses the PBE geometry in the Materials Project and copper Kα.
No peak broadening, texture or thermal motion is included.

Principal peaks in the range 2θ = 10–80°, low angle first:
- 2θ = 29.85°, I 100.0
- 2θ = 29.97°, I 49.2
- 2θ = 42.69°, I 13.1
- 2θ = 42.83°, I 26.7
- 2θ = 52.92°, I 14.8
- 2θ = 53.01°, I 15.5
- 2θ = 53.12°, I 21.0
- 2θ = 62.01°, I 15.5

Atomic structure:
a b c (Å): 5.968 5.992 8.453
angles (deg): 90.21 90.20 90.22
Sites, in units of the cell vectors:
Ba1 0.005 0.019 0.250
Ba2 0.995 0.981 0.750
Tb1 0.000 0.500 0.500
Tb2 0.500 0.000 0.000
Eu1 0.495 0.529 0.251
Eu2 0.505 0.471 0.749
Sb1 0.000 0.500 0.000
Sb2 0.500 0.000 0.500
O1 0.074 0.503 0.765
O2 0.210 0.761 0.032
O3 0.240 0.788 0.471
O4 0.267 0.296 0.037
O5 0.299 0.270 0.465
O6 0.448 0.023 0.736
O7 0.552 0.977 0.264
O8 0.701 0.730 0.535
O9 0.733 0.704 0.963
O10 0.760 0.212 0.529
O11 0.790 0.239 0.968
O12 0.926 0.497 0.235

---

[5]
Diffraction record for Ho3Sc. The powder diffractogram is calculated, not measured: it uses the PBE geometry in the Materials Project and copper Kα.
No peak broadening, texture or thermal motion is included.

Principal peaks in the range 2θ = 10–80°, low angle first:
- 2θ = 21.71°, I 15.6
- 2θ = 29.23°, I 23.9
- 2θ = 32.48°, I 24.2
- 2θ = 33.53°, I 100.0
- 2θ = 51.82°, I 19.3
- 2θ = 58.61°, I 20.1
- 2θ = 62.50°, I 21.9
- 2θ = 63.15°, I 15.9

Atomic structure:
a b c (Å): 7.057 7.057 5.514
angles (deg): 90.00 90.00 120.00
Sites, in units of the cell vectors:
Ho1 0.169 0.338 0.250
Ho2 0.169 0.831 0.250
Ho3 0.338 0.169 0.750
Ho4 0.662 0.831 0.250
Ho5 0.831 0.169 0.750
Ho6 0.831 0.662 0.750
Sc1 0.333 0.667 0.750
Sc2 0.667 0.333 0.250

---

[6]
Diffraction record for Na3SrTiNb3O12. The powder diffractogram is calculated, not measured: it uses the PBE geometry in the Materials Project and copper Kα.
No peak broadening, texture or thermal motion is included.

Principal peaks in the range 2θ = 10–80°, low angle first:
- 2θ = 22.19°, I 22.3
- 2θ = 22.43°, I 39.8
- 2θ = 31.75°, I 100.0
- 2θ = 31.93°, I 54.8
- 2θ = 45.26°, I 23.2
- 2θ = 45.78°, I 42.7
- 2θ = 56.74°, I 21.4
- 2θ = 66.34°, I 24.1

Atomic structure:
a b c (Å): 7.926 8.014 11.195
angles (deg): 90.00 134.91 90.00
Sites, in units of the cell vectors:
Na1 0.000 0.232 0.250
Na2 0.000 0.232 0.750
Na3 0.000 0.768 0.250
Na4 0.000 0.768 0.750
Na5 0.500 0.236 0.250
Na6 0.500 0.764 0.750
Sr1 0.500 0.239 0.750
Sr2 0.500 0.761 0.250
Ti1 0.500 0.000 0.000
Ti2 0.500 0.000 0.500
Nb1 0.000 0.000 0.000
Nb2 0.000 0.000 0.500
Nb3 0.000 0.500 0.000
Nb4 0.000 0.500 0.500
Nb5 0.500 0.500 0.000
Nb6 0.500 0.500 0.500
O1 0.018 0.251 0.508
O2 0.018 0.749 0.008
O3 0.207 0.499 0.749
O4 0.207 0.501 0.249
O5 0.227 0.002 0.975
O6 0.227 0.998 0.475
O7 0.281 0.005 0.252
O8 0.281 0.995 0.752
O9 0.297 0.492 0.047
O10 0.297 0.508 0.547
O11 0.497 0.250 0.507
O12 0.497 0.750 0.007
O13 0.503 0.250 0.993
O14 0.503 0.750 0.493
O15 0.703 0.492 0.453
O16 0.703 0.508 0.953
O17 0.719 0.005 0.248
O18 0.719 0.995 0.748
O19 0.773 0.002 0.525
O20 0.773 0.998 0.025
O21 0.793 0.499 0.751
O22 0.793 0.501 0.251
O23 0.982 0.251 0.992
O24 0.982 0.749 0.492